Diffraction record for Li3FeP2O8. The powder diffraction line list is theoretical, not measured: it uses a structure optimized by DFT (GGA+U) and Cu Kα, 1.54184 Å.
Intensities are scaled so that the largest is 100.

Top 8 peaks for 2θ from 5° to 70°, in order of falling intensity:
- 2θ 17.27, d 5.135, intensity 100, (0 1 1)
- 2θ 22.94, d 3.877, intensity 62, (0 1 2)
- 2θ 30.10, d 2.969, intensity 54, (0 2 0)
- 2θ 35.67, d 2.517, intensity 53, (1 1 -3)
- 2θ 25.71, d 3.465, intensity 52, (1 0 2)
- 2θ 20.73, d 4.284, intensity 42, (1 0 1)
- 2θ 39.86, d 2.261, intensity 42, (1 2 -2)
- 2θ 18.74, d 4.736, intensity 40, (1 0 0)

Structure:
a b c (Å): 4.736 5.938 10.235
angles (deg): 90.00 90.48 90.00
Space group P2_1/m (No. 11)
Unique sites:
Li: 0.000 0.000 0.000
Li: 0.021 0.250 0.280
Li: 0.500 0.000 0.500
Fe: 0.492 0.250 0.780
P: 0.088 0.750 0.400
P: 0.433 0.750 0.907
O: 0.193 0.750 0.542
O: 0.230 0.547 0.326
O: 0.239 0.250 0.612
O: 0.247 0.250 0.089
O: 0.297 0.750 0.048
O: 0.300 0.539 0.837

***

Diffraction record for LiFeWClO4. The powder diffraction line list is theoretical, not measured: it uses a structure optimized by DFT (GGA+U) and Cu Kα, 1.54184 Å.
Intensities are scaled so that the largest is 100.

Top 8 peaks for 2θ from 5° to 70°, in order of falling intensity:
- 2θ 17.33, d 5.116, intensity 100, (1 0 0)
- 2θ 24.61, d 3.618, intensity 77, (0 0 2)
- 2θ 25.35, d 3.514, intensity 75, (0 2 0)
- 2θ 24.51, d 3.632, intensity 69, (1 1 -1)
- 2θ 25.08, d 3.551, intensity 56, (1 1 1)
- 2θ 17.59, d 5.041, intensity 46, (0 1 1)
- 2θ 30.87, d 2.897, intensity 46, (1 2 0)
- 2θ 35.62, d 2.521, intensity 41, (0 2 2)

Structure:
a b c (Å): 5.119 7.028 7.239
angles (deg): 90.00 91.87 90.00
Space group P2_1/m (No. 11)
Unique sites:
Li: 0.000 0.000 0.000
Fe: 0.315 0.250 0.253
W: 0.499 0.250 0.763
Cl: 0.190 0.750 0.776
O: 0.246 0.250 0.936
O: 0.295 0.539 0.208
O: 0.343 0.250 0.538

***

Which formula does entry 1 have?
Li3FeP2O8

***

Copy entry 1 word for word.
Diffraction record for Li3FeP2O8. The powder diffraction line list is theoretical, not measured: it uses a structure optimized by DFT (GGA+U) and Cu Kα, 1.54184 Å.
Intensities are scaled so that the largest is 100.

Top 8 peaks for 2θ from 5° to 70°, in order of falling intensity:
- 2θ 17.27, d 5.135, intensity 100, (0 1 1)
- 2θ 22.94, d 3.877, intensity 62, (0 1 2)
- 2θ 30.10, d 2.969, intensity 54, (0 2 0)
- 2θ 35.67, d 2.517, intensity 53, (1 1 -3)
- 2θ 25.71, d 3.465, intensity 52, (1 0 2)
- 2θ 20.73, d 4.284, intensity 42, (1 0 1)
- 2θ 39.86, d 2.261, intensity 42, (1 2 -2)
- 2θ 18.74, d 4.736, intensity 40, (1 0 0)

Structure:
a b c (Å): 4.736 5.938 10.235
angles (deg): 90.00 90.48 90.00
Space group P2_1/m (No. 11)
Unique sites:
Li: 0.000 0.000 0.000
Li: 0.021 0.250 0.280
Li: 0.500 0.000 0.500
Fe: 0.492 0.250 0.780
P: 0.088 0.750 0.400
P: 0.433 0.750 0.907
O: 0.193 0.750 0.542
O: 0.230 0.547 0.326
O: 0.239 0.250 0.612
O: 0.247 0.250 0.089
O: 0.297 0.750 0.048
O: 0.300 0.539 0.837